(1)
Starting from a crystal structure in Alexandria, relaxed with PBE, the X-ray diffraction stick pattern of MgRe2O8 was simulated for a wavelength of 1.5418 Å.
Kinematic intensities with the Lorentz-polarization factor, no thermal factor.

Most intense lines, 10 to 90 degrees two-theta, by angle:
hkl	Position (°2θ)	d [Å]	Rel. int.
1 1 0	17.16	5.167	25
2 -1 1	23.70	3.754	100
3 0 0	29.95	2.983	38
0 0 2	32.78	2.732	9
1 1 2	37.23	2.415	10
2 2 1	38.54	2.336	16
3 0 2	44.99	2.015	18
5 -1 1	49.57	1.839	26
2 -1 3	53.33	1.718	11
5 2 1	67.58	1.386	10

Crystal structure
Unit cell a=10.3344 b=10.3344 c=5.4644 alpha=90.00 beta=90.00 gamma=120.00
Space group P31m (No. 157)
One atom of each set of equivalent atoms:
1 Mg 0.0000 0.0000 0.0000
2 Mg 0.3333 0.6667 0.5066
3 Re 0.0000 0.3422 0.1665
4 Re 0.0000 0.6770 0.6387
5 O 0.0000 0.1737 0.2159
6 O 0.0000 0.3646 0.8537
7 O 0.0000 0.6921 0.3248
8 O 0.0000 0.8305 0.7798
9 O 0.1610 0.4947 0.2934
10 O 0.1628 0.6715 0.7173



(2)
Starting from a crystal structure in Alexandria, relaxed with PBE, the X-ray diffraction stick pattern of MgRuO3 was simulated for a wavelength of 1.5418 Å.
Kinematic intensities with the Lorentz-polarization factor, no thermal factor.

Most intense lines, 10 to 90 degrees two-theta, by angle:
hkl	Position (°2θ)	d [Å]	Rel. int.
1 0 -1	18.97	4.678	100
1 0 1	33.17	2.701	26
1 1 0	37.89	2.375	19
2 0 0	38.49	2.339	7
1 1 1	47.11	1.929	32
2 1 0	51.23	1.783	19
3 0 -2	51.70	1.768	12
2 1 -3	62.40	1.488	10
3 1 0	69.23	1.357	9
2 0 2	69.63	1.350	6

Crystal structure
Unit cell a=5.399 b=2.756 c=5.400 alpha=90.00 beta=119.95 gamma=90.00
Space group Pm (No. 6)
One atom of each set of equivalent atoms:
1 Mg 0.000 0.000 0.000
2 Ru 0.667 0.000 0.334
3 O 0.343 0.500 0.172
4 O 0.828 0.500 0.171
5 O 0.829 0.500 0.657



(3)
Starting from a crystal structure in Alexandria, relaxed with PBE, the X-ray diffraction stick pattern of MgSnRuO6 was simulated for a wavelength of 1.5418 Å.
Kinematic intensities with the Lorentz-polarization factor, no thermal factor.

Most intense lines, 10 to 90 degrees two-theta, by angle:
hkl	Position (°2θ)	d [Å]	Rel. int.
1 0 0	19.56	4.538	53
0 0 2	19.82	4.479	85
1 0 2	27.99	3.188	100
1 1 0	34.22	2.620	62
1 1 2	39.86	2.262	91
2 0 2	44.77	2.024	27
1 1 4	53.85	1.702	71
2 1 2	57.53	1.602	26
3 0 0	61.27	1.513	30
3 0 2	65.08	1.433	20

Crystal structure
Unit cell a=5.2405 b=5.2405 c=8.9578 alpha=90.00 beta=90.00 gamma=120.00
Space group P-31c (No. 163)
One atom of each set of equivalent atoms:
1 Mg 0.0000 0.0000 0.0000
2 Sn 0.3333 0.6667 0.2500
3 Ru 0.3333 0.6667 0.7500
4 O 0.0205 0.3590 0.6299



(4)
Starting from a crystal structure in Alexandria, relaxed with PBE, the X-ray diffraction stick pattern of Sr4Tb2MgRu2O12 was simulated for a wavelength of 1.5418 Å.
Kinematic intensities with the Lorentz-polarization factor, no thermal factor.

Most intense lines, 10 to 90 degrees two-theta, by angle:
hkl	Position (°2θ)	d [Å]	Rel. int.
1 1 0	20.73	4.286	15
1 1 2	28.91	3.089	30
0 2 0	29.28	3.050	30
-1 1 2	30.29	2.951	34
1 -1 2	30.45	2.936	45
1 1 -2	30.74	2.909	100
2 2 0	42.17	2.143	15
0 0 4	43.26	2.092	21
2 -2 0	43.71	2.071	16
1 3 -1	48.83	1.865	13

Crystal structure
Unit cell a=5.831 b=6.110 c=8.382 alpha=87.23 beta=87.74 gamma=87.94
Space group P1 (No. 1)
One atom of each set of equivalent atoms:
1 Sr 0.000 0.000 0.000
2 Sr 0.056 0.193 0.564
3 Sr 0.543 0.672 0.571
4 Sr 0.616 0.557 0.064
5 Tb 0.070 0.694 0.327
6 Tb 0.534 0.117 0.802
7 Mg 0.191 0.304 0.182
8 Ru 0.047 0.602 0.803
9 Ru 0.576 0.131 0.309
10 O 0.126 0.600 0.055
11 O 0.241 0.884 0.764
12 O 0.269 0.981 0.344
13 O 0.316 0.411 0.755
14 O 0.372 0.431 0.346
15 O 0.458 0.165 0.070
16 O 0.636 0.097 0.538
17 O 0.744 0.850 0.254
18 O 0.760 0.802 0.841
19 O 0.848 0.328 0.838
20 O 0.866 0.301 0.257
21 O 0.969 0.609 0.571



(5)
Starting from a crystal structure in Alexandria, relaxed with PBE, the X-ray diffraction stick pattern of Sr4Tb2MgRu2O12 was simulated for a wavelength of 1.5418 Å.
Kinematic intensities with the Lorentz-polarization factor, no thermal factor.

Most intense lines, 10 to 90 degrees two-theta, by angle:
hkl	Position (°2θ)	d [Å]	Rel. int.
1 1 0	19.66	4.515	34
1 0 2	26.17	3.405	34
0 2 0	28.36	3.147	80
1 1 2	28.79	3.101	61
1 1 -2	30.14	2.965	100
2 0 0	30.24	2.956	52
-1 1 2	30.74	2.909	94
1 -1 2	30.84	2.899	69
2 -2 0	43.86	2.064	39
0 0 4	44.34	2.043	47

Crystal structure
Unit cell a=5.938 b=6.323 c=8.181 alpha=87.88 beta=88.24 gamma=84.81
Space group P1 (No. 1)
One atom of each set of equivalent atoms:
1 Sr 0.000 0.000 0.000
2 Sr 0.080 0.956 0.485
3 Sr 0.342 0.408 0.456
4 Sr 0.442 0.551 0.948
5 Tb 0.525 0.064 0.754
6 Tb 0.907 0.474 0.213
7 Mg 0.653 0.749 0.480
8 Ru 0.494 0.012 0.229
9 Ru 0.980 0.515 0.732
10 O 0.023 0.580 0.969
11 O 0.177 0.200 0.234
12 O 0.188 0.243 0.735
13 O 0.260 0.683 0.678
14 O 0.382 0.735 0.312
15 O 0.440 0.937 0.999
16 O 0.521 0.053 0.479
17 O 0.637 0.282 0.169
18 O 0.729 0.323 0.790
19 O 0.782 0.792 0.707
20 O 0.808 0.838 0.255
21 O 0.909 0.496 0.487



(6)
Starting from a crystal structure in Alexandria, relaxed with PBE, the X-ray diffraction stick pattern of Sr4Tb2MgRu2O12 was simulated for a wavelength of 1.5418 Å.
Kinematic intensities with the Lorentz-polarization factor, no thermal factor.

Most intense lines, 10 to 90 degrees two-theta, by angle:
hkl	Position (°2θ)	d [Å]	Rel. int.
1 -1 0	21.31	4.169	34
1 1 -2	28.88	3.092	41
1 -1 2	29.17	3.061	42
0 2 0	29.46	3.032	38
-1 1 2	30.47	2.934	100
1 1 2	30.86	2.898	68
2 0 0	31.16	2.870	67
0 0 4	42.03	2.150	25
2 -2 1	44.16	2.051	34
0 2 4	54.19	1.693	22

Crystal structure
Unit cell a=5.742 b=6.082 c=8.626 alpha=94.46 beta=90.89 gamma=90.14
Space group P1 (No. 1)
One atom of each set of equivalent atoms:
1 Sr 0.000 0.000 0.000
2 Sr 0.013 0.176 0.410
3 Sr 0.519 0.623 0.458
4 Sr 0.533 0.553 0.001
5 Tb 0.016 0.463 0.764
6 Tb 0.515 0.068 0.224
7 Mg 0.991 0.864 0.625
8 Ru 0.024 0.578 0.239
9 Ru 0.512 0.995 0.751
10 O 0.091 0.557 0.009
11 O 0.192 0.145 0.687
12 O 0.230 0.847 0.291
13 O 0.297 0.370 0.264
14 O 0.305 0.723 0.709
15 O 0.429 0.001 0.980
16 O 0.667 0.003 0.532
17 O 0.707 0.259 0.811
18 O 0.762 0.788 0.208
19 O 0.782 0.782 0.795
20 O 0.801 0.314 0.195
21 O 0.957 0.570 0.490



(7)
Starting from a crystal structure in Alexandria, relaxed with PBE, the X-ray diffraction stick pattern of Sr4Y2MgRu2O12 was simulated for a wavelength of 1.5418 Å.
Kinematic intensities with the Lorentz-polarization factor, no thermal factor.

Most intense lines, 10 to 90 degrees two-theta, by angle:
hkl	Position (°2θ)	d [Å]	Rel. int.
1 1 0	21.09	4.213	22
1 1 2	29.09	3.070	62
1 -1 2	29.56	3.022	86
0 2 0	29.87	2.991	87
2 0 0	30.28	2.952	74
-1 1 2	30.62	2.919	83
1 1 -2	30.89	2.895	100
0 0 4	42.95	2.106	83
2 -2 0	43.19	2.095	47
-3 1 2	54.96	1.671	32

Crystal structure
Unit cell a=5.917 b=5.983 c=8.438 alpha=89.00 beta=86.25 gamma=89.58
Space group P1 (No. 1)
One atom of each set of equivalent atoms:
1 Sr 0.000 0.000 0.000
2 Sr 0.040 0.908 0.497
3 Sr 0.417 0.369 0.440
4 Sr 0.510 0.509 0.015
5 Y 0.531 0.987 0.750
6 Y 0.979 0.457 0.240
7 Mg 0.687 0.539 0.663
8 Ru 0.066 0.454 0.756
9 Ru 0.497 0.949 0.238
10 O 0.103 0.437 0.982
11 O 0.209 0.149 0.273
12 O 0.224 0.174 0.696
13 O 0.289 0.681 0.272
14 O 0.370 0.626 0.704
15 O 0.435 0.942 0.006
16 O 0.573 0.965 0.474
17 O 0.689 0.230 0.202
18 O 0.756 0.276 0.796
19 O 0.763 0.748 0.196
20 O 0.852 0.758 0.778
21 O 0.953 0.483 0.513



(8)
Starting from a crystal structure in Alexandria, relaxed with PBE, the X-ray diffraction stick pattern of MgTeRuO6 was simulated for a wavelength of 1.5418 Å.
Kinematic intensities with the Lorentz-polarization factor, no thermal factor.

Most intense lines, 10 to 90 degrees two-theta, by angle:
hkl	Position (°2θ)	d [Å]	Rel. int.
0 0 2	18.97	4.677	14
1 0 1	21.29	4.173	43
1 1 0	27.04	3.297	100
1 0 3	34.60	2.592	71
2 0 0	38.62	2.332	17
2 1 3	52.81	1.734	69
2 2 0	55.74	1.649	20
3 1 0	63.04	1.475	13
1 1 6	66.32	1.409	15
3 0 3	67.30	1.391	24

Crystal structure
Unit cell a=4.663 b=4.663 c=9.355 alpha=90.00 beta=90.00 gamma=90.00
Space group P4_2nm (No. 102)
One atom of each set of equivalent atoms:
1 Mg 0.000 0.000 0.000
2 Te 0.000 0.000 0.667
3 Ru 0.000 0.000 0.333
4 O 0.189 0.189 0.497
5 O 0.197 0.197 0.827
6 O 0.200 0.200 0.167



- What is the formula in the third record?
  MgSnRuO6